Theoretical X-ray diffraction stick pattern
Compound: Sm3Y4Bi4
Radiation: Cu Kα (weighted mean of Kα1 and Kα2)
Structure: DFT lattice parameters and positions (PBE)

Peak list (10 most intense, 10 to 90 degrees two-theta, in order of rising 2θ)
d (Å)	I/Imax
4.369	20
3.098	88
2.891	100
2.770	44
2.692	30
2.479	39
2.425	42
2.111	28
1.607	21
1.604	41

Structure:
Cell lengths 4.222, 9.446, 17.478 Å; angles 90.00, 90.00, 90.00 degrees
Space group Immm (No. 71)
Unique sites:
1 Sm 0.000 0.000 0.000 [2 per cell]
2 Sm 0.000 0.500 0.104 [4 per cell]
3 Y 0.000 0.311 0.331 [8 per cell]
4 Bi 0.000 0.000 0.257 [4 per cell]
5 Bi 0.000 0.206 0.500 [4 per cell]

***

Theoretical X-ray diffraction stick pattern
Compound: SmY3Bi4
Radiation: Cu Kα (weighted mean of Kα1 and Kα2)
Structure: DFT lattice parameters and positions (PBE)

Peak list (10 most intense, 10 to 90 degrees two-theta, in order of rising 2θ)
d (Å)	I/Imax
3.674	19
3.182	100
2.250	78
1.919	11
1.837	28
1.591	13
1.460	5
1.423	37
1.299	28
1.125	9

Structure:
Cell lengths 6.363, 6.363, 6.363 Å; angles 90.00, 90.00, 90.00 degrees
Space group Pm-3m (No. 221)
Unique sites:
1 Sm 0.000 0.000 0.000 [1 per cell]
2 Y 0.000 0.500 0.500 [3 per cell]
3 Bi 0.000 0.000 0.500 [3 per cell]
4 Bi 0.500 0.500 0.500 [1 per cell]

***

Theoretical X-ray diffraction stick pattern
Compound: Sm3YBi4
Radiation: Cu Kα (weighted mean of Kα1 and Kα2)
Structure: DFT lattice parameters and positions (PBE)

Peak list (10 most intense, 10 to 90 degrees two-theta, in order of rising 2θ)
d (Å)	I/Imax
3.705	8
3.209	100
2.269	78
1.935	5
1.853	29
1.604	14
1.472	2
1.435	38
1.310	28
1.134	9

Structure:
Cell lengths 6.418, 6.418, 6.418 Å; angles 90.00, 90.00, 90.00 degrees
Space group Pm-3m (No. 221)
Unique sites:
1 Sm 0.000 0.000 0.500 [3 per cell]
2 Y 0.500 0.500 0.500 [1 per cell]
3 Bi 0.000 0.000 0.000 [1 per cell]
4 Bi 0.000 0.500 0.500 [3 per cell]

***

Theoretical X-ray diffraction stick pattern
Compound: Sm5Zn2Bi
Radiation: Cu Kα (weighted mean of Kα1 and Kα2)
Structure: DFT lattice parameters and positions (PBE)

Peak list (10 most intense, 10 to 90 degrees two-theta, in order of rising 2θ)
d (Å)	I/Imax
3.617	15
2.979	13
2.832	100
2.665	64
2.558	24
1.884	11
1.763	14
1.690	15
1.470	20
1.378	12

Structure:
Cell lengths 8.427, 8.427, 12.876 Å; angles 90.00, 90.00, 90.00 degrees
Space group I4/mcm (No. 140)
Unique sites:
1 Sm 0.000 0.000 0.000 [4 per cell]
2 Sm 0.151 0.349 0.143 [16 per cell]
3 Zn 0.144 0.356 0.500 [8 per cell]
4 Bi 0.000 0.000 0.250 [4 per cell]

***

Theoretical X-ray diffraction stick pattern
Compound: Sm5ZnBi2
Radiation: Cu Kα (weighted mean of Kα1 and Kα2)
Structure: DFT lattice parameters and positions (PBE)

Peak list (10 most intense, 10 to 90 degrees two-theta, in order of rising 2θ)
d (Å)	I/Imax
3.732	18
2.973	65
2.955	70
2.913	37
2.714	100
2.527	29
2.428	16
2.075	28
1.656	23
1.467	15

Structure:
Cell lengths 5.909, 11.901, 14.374 Å; angles 90.00, 90.00, 90.00 degrees
Space group Cmcm (No. 63)
Unique sites:
1 Sm 0.000 0.073 0.106 [8 per cell]
2 Sm 0.000 0.375 0.053 [8 per cell]
3 Sm 0.000 0.419 0.750 [4 per cell]
4 Zn 0.000 0.287 0.250 [4 per cell]
5 Bi 0.000 0.197 0.620 [8 per cell]

***

Theoretical X-ray diffraction stick pattern
Compound: Sm5Zn2Bi2
Radiation: Cu Kα (weighted mean of Kα1 and Kα2)
Structure: DFT lattice parameters and positions (PBE)

Peak list (10 most intense, 10 to 90 degrees two-theta, in order of rising 2θ)
d (Å)	I/Imax
3.652	28
3.000	48
2.873	100
2.850	42
2.812	62
2.707	58
2.554	44
2.521	40
1.647	28
1.473	30

Structure:
Cell lengths 16.126, 8.194, 8.057 Å; angles 90.00, 90.00, 90.00 degrees
Space group Cmce (No. 64)
Unique sites:
1 Sm 0.000 0.000 0.000 [4 per cell]
2 Sm 0.130 0.170 0.334 [16 per cell]
3 Zn 0.000 0.123 0.620 [8 per cell]
4 Bi 0.207 0.000 0.000 [8 per cell]